Calculated XRD peak list
Compound: FeRe3O15
Radiation: Cu Kα (weighted mean of Kα1 and Kα2)
Structure: the GGA+U geometry in the Materials Project
Lines closer than 0.1° are merged.

Top 10 peaks for 5 to 70 degrees two-theta, by angle:
| 2theta | I_rel |
| --- | --- |
| 13.75 | 44 |
| 14.21 | 56 |
| 19.75 | 100 |
| 21.02 | 74 |
| 21.80 | 54 |
| 22.68 | 69 |
| 24.44 | 59 |
| 25.23 | 60 |
| 25.33 | 78 |
| 26.73 | 40 |

Cell and atoms:
abc: 8.0877 8.2971 11.7340
angles: 85.05 84.31 64.54
Space group P-1 (No. 2)
Unique sites:
1 Fe 0.2053 0.1015 0.2521 x2
2 Re 0.2737 0.7356 0.0751 x2
3 Re 0.2819 0.1730 0.7623 x2
4 Re 0.3447 0.3756 0.4038 x2
5 O 0.0633 0.7929 0.7114 x2
6 O 0.1372 0.9882 0.3844 x2
7 O 0.1739 0.1005 0.6712 x2
8 O 0.1737 0.9325 0.1590 x2
9 O 0.1961 0.1509 0.9030 x2
10 O 0.1994 0.7863 0.9371 x2
11 O 0.2044 0.5819 0.4575 x2
12 O 0.2065 0.2744 0.3541 x2
13 O 0.2119 0.5701 0.1411 x2
14 O 0.2134 0.2408 0.1253 x2
15 O 0.2212 0.3986 0.7279 x2
16 O 0.4740 0.9582 0.2526 x2
17 O 0.4796 0.2401 0.5117 x2
18 O 0.4897 0.3428 0.9337 x2
19 O 0.4915 0.4030 0.2928 x2

---

Calculated XRD peak list
Compound: LiCr2P3O12
Radiation: Cu Kα (weighted mean of Kα1 and Kα2)
Structure: the GGA+U geometry in the Materials Project
Lines closer than 0.1° are merged.

Top 10 peaks for 5 to 70 degrees two-theta, by angle:
| 2theta | I_rel |
| --- | --- |
| 14.64 | 100 |
| 20.27 | 64 |
| 20.43 | 45 |
| 21.19 | 31 |
| 24.43 | 100 |
| 24.54 | 62 |
| 24.67 | 33 |
| 29.49 | 69 |
| 29.67 | 28 |
| 32.43 | 38 |

Cell and atoms:
abc: 8.3537 8.3697 8.7162
angles: 61.63 62.00 60.28
Space group P-1 (No. 2)
Unique sites:
1 Li 0.0309 0.3215 0.4206 x2
2 Cr 0.1519 0.6414 0.0723 x2
3 Cr 0.3542 0.8542 0.4351 x2
4 P 0.0332 0.9623 0.2522 x2
5 P 0.2479 0.4722 0.7471 x2
6 P 0.4730 0.2441 0.2462 x2
7 O 0.0132 0.8789 0.9189 x2
8 O 0.0904 0.4098 0.7689 x2
9 O 0.0973 0.7555 0.2450 x2
10 O 0.1417 0.0399 0.5691 x2
11 O 0.1981 0.9766 0.2756 x2
12 O 0.2117 0.4951 0.9280 x2
13 O 0.2122 0.6717 0.5914 x2
14 O 0.2635 0.3851 0.2484 x2
15 O 0.3862 0.6953 0.9448 x2
16 O 0.4520 0.3262 0.6995 x2
17 O 0.4829 0.7323 0.6127 x2
18 O 0.4918 0.0348 0.2933 x2